1.
For RbPH2O4, a GGA-PBE-relaxed structure gives the theoretical XRD peak list in this record (Cu Ka).

Principal peaks in the range 5 to 70 degrees two-theta, in order of falling intensity:
22.83 deg, rel. 100; 29.21 deg, rel. 51; 29.11 deg, rel. 50; 44.34 deg, rel. 30; 44.12 deg, rel. 29; 36.69 deg, rel. 18; 32.32 deg, rel. 16; 32.70 deg, rel. 16; 55.15 deg, rel. 12; 38.43 deg, rel. 11

a b c (Å): 6.6536 6.6012 7.7910
angles (deg): 54.31 53.69 72.00
Atoms (fractional coordinates):
Rb1 0.0000 0.0000 0.0000
Rb2 0.2500 0.2500 0.2500
P1 0.4828 0.4828 0.5172
P2 0.7328 0.7328 0.7672
H1 0.0868 0.6440 0.7671
H2 0.4829 0.7480 0.1632
H3 0.6440 0.0868 0.5020
H4 0.7480 0.4829 0.6060
O1 0.2807 0.4625 0.7680
O2 0.4625 0.2807 0.4887
O3 0.4768 0.7510 0.2998
O4 0.4820 0.7612 0.9693
O5 0.7510 0.4768 0.4724
O6 0.7613 0.4820 0.7875
O7 0.7776 0.9502 0.4990
O8 0.9502 0.7776 0.7732

=====

2.
For CeSe2, a GGA-PBE-relaxed structure gives the theoretical XRD peak list in this record (Cu Ka).

Principal peaks in the range 5 to 70 degrees two-theta, in order of falling intensity:
5.79 deg, rel. 100; 15.85 deg, rel. 17; 10.41 deg, rel. 17; 8.95 deg, rel. 12; 17.27 deg, rel. 10; 13.79 deg, rel. 8; 18.66 deg, rel. 6; 22.59 deg, rel. 6; 17.02 deg, rel. 5; 43.46 deg, rel. 5

a b c (Å): 21.0973 21.0973 21.0973
angles (deg): 132.48 132.48 69.46
Atoms (fractional coordinates):
Ce1 0.1552 0.3941 0.4432
Ce2 0.1552 0.7119 0.7610
Ce3 0.2881 0.5491 0.4432
Ce4 0.2881 0.8448 0.7390
Ce5 0.3941 0.1552 0.9432
Ce6 0.3941 0.4509 0.2390
Ce7 0.4509 0.3941 0.7390
Ce8 0.4509 0.7119 0.0568
Ce9 0.5491 0.2881 0.9432
Ce10 0.5491 0.6059 0.2610
Ce11 0.6059 0.5491 0.7610
Ce12 0.6059 0.8448 0.0568
Ce13 0.7119 0.1552 0.2610
Ce14 0.7119 0.4509 0.5568
Ce15 0.8448 0.2881 0.2390
Ce16 0.8448 0.6059 0.5568
Se1 0.0000 0.2822 0.2822
Se2 0.0000 0.7178 0.7178
Se3 0.1547 0.5483 0.6064
Se4 0.1775 0.4275 0.3550
Se5 0.1775 0.8225 0.7500
Se6 0.2456 0.7099 0.5358
Se7 0.2822 0.0000 0.7822
Se8 0.2822 0.5000 0.2822
Se9 0.2901 0.3259 0.5358
Se10 0.2901 0.7544 0.9642
Se11 0.3259 0.2901 0.0358
Se12 0.4275 0.1775 0.8550
Se13 0.4275 0.5725 0.2500
Se14 0.4419 0.5483 0.8936
Se15 0.4517 0.5581 0.6064
Se16 0.4517 0.8453 0.8936
Se17 0.5000 0.2822 0.7822
Se18 0.5000 0.7178 0.2178
Se19 0.5483 0.1547 0.1064
Se20 0.5483 0.4419 0.3936
Se21 0.5581 0.4517 0.1064
Se22 0.5725 0.4275 0.7500
Se23 0.5725 0.8225 0.1450
Se24 0.6741 0.7099 0.9642
Se25 0.7099 0.2456 0.0358
Se26 0.7099 0.6741 0.4642
Se27 0.7178 0.0000 0.2178
Se28 0.7178 0.5000 0.7178
Se29 0.7544 0.2901 0.4642
Se30 0.8225 0.1775 0.2500
Se31 0.8225 0.5725 0.6450
Se32 0.8453 0.4517 0.3936

=====

3.
For GdFeB4, a GGA-PBE-relaxed structure gives the theoretical XRD peak list in this record (Cu Ka).

Principal peaks in the range 5 to 70 degrees two-theta, in order of falling intensity:
41.14 deg, rel. 100; 31.15 deg, rel. 86; 26.19 deg, rel. 64; 38.53 deg, rel. 33; 27.75 deg, rel. 31; 44.01 deg, rel. 23; 21.54 deg, rel. 23; 63.57 deg, rel. 22; 47.08 deg, rel. 21; 34.16 deg, rel. 20

a b c (Å): 5.9320 11.4779 3.4022
angles (deg): 90.00 90.00 90.00
Atoms (fractional coordinates):
Gd1 0.1260 0.1504 0.0000
Gd2 0.3740 0.6504 0.0000
Gd3 0.6260 0.3496 0.0000
Gd4 0.8740 0.8496 0.0000
Fe1 0.1318 0.4123 0.0000
Fe2 0.3682 0.9123 0.0000
Fe3 0.6318 0.0877 0.0000
Fe4 0.8682 0.5877 0.0000
B1 0.0243 0.6898 0.5000
B2 0.1112 0.5457 0.5000
B3 0.1399 0.9677 0.5000
B4 0.2195 0.8168 0.5000
B5 0.2805 0.3168 0.5000
B6 0.3601 0.4677 0.5000
B7 0.3888 0.0457 0.5000
B8 0.4757 0.1898 0.5000
B9 0.5243 0.8102 0.5000
B10 0.6112 0.9543 0.5000
B11 0.6399 0.5323 0.5000
B12 0.7195 0.6832 0.5000
B13 0.7805 0.1832 0.5000
B14 0.8601 0.0323 0.5000
B15 0.8888 0.4543 0.5000
B16 0.9757 0.3102 0.5000